# 1
Simulated powder diffractogram
Compound: K2Li2ReO6
Radiation: copper Kα
Structure: DFT lattice parameters and positions (PBE)
Peak positions follow from Bragg's law for the DFT cell and can differ from measured ones.

Top 10 peaks for 2θ = 10–90°, sorted by position:
d_spacing  I/Imax
6.076  26
4.616  38
3.676  100
2.665  22
2.538  12
2.158  20
2.003  34
1.855  12
1.677  19
1.322  10

Structural model:
Cell: 5.3301 5.3301 6.0763 Å, 90.00 90.00 120.00°
Space group P-31m (No. 162)
Inequivalent atoms, fractional coordinates:
K1 0.3333 0.6667 0.0000
Li1 0.3333 0.6667 0.5000
Re1 0.0000 0.0000 0.5000
O1 0.0000 0.2946 0.3238



# 2
Simulated powder diffractogram
Compound: AcTlSiSe4
Radiation: copper Kα
Structure: DFT lattice parameters and positions (PBE)
Peak positions follow from Bragg's law for the DFT cell and can differ from measured ones.

Top 10 peaks for 2θ = 10–90°, sorted by position:
d_spacing  I/Imax
4.858  100
3.495  56
3.267  67
3.152  71
2.960  61
2.874  51
2.731  65
2.708  68
2.429  70
2.286  48

Structural model:
Cell: 7.059 6.991 9.148 Å, 90.00 106.85 90.00°
Space group P2_1/m (No. 11)
Inequivalent atoms, fractional coordinates:
Ac1 0.238 0.250 0.055
Tl1 0.260 0.250 0.567
Si1 0.211 0.750 0.807
Se1 0.001 0.506 0.236
Se2 0.383 0.750 0.064
Se3 0.405 0.750 0.649



# 3
Simulated powder diffractogram
Compound: Li2Zn3Ge2
Radiation: copper Kα
Structure: DFT lattice parameters and positions (PBE)
Peak positions follow from Bragg's law for the DFT cell and can differ from measured ones.

Top 10 peaks for 2θ = 10–90°, sorted by position:
d_spacing  I/Imax
6.331  40
4.070  82
3.777  73
3.397  25
2.526  65
2.337  38
2.172  100
2.077  45
2.035  30
1.907  42

Structural model:
Cell: 9.242 4.153 6.447 Å, 90.00 100.90 90.00°
Space group C2/m (No. 12)
Inequivalent atoms, fractional coordinates:
Li1 0.109 0.000 0.346
Zn1 0.000 0.500 0.000
Zn2 0.210 0.000 0.864
Ge1 0.103 0.500 0.669



# 4
Simulated powder diffractogram
Compound: LuBrO
Radiation: copper Kα
Structure: DFT lattice parameters and positions (PBE)
Peak positions follow from Bragg's law for the DFT cell and can differ from measured ones.

Top 10 peaks for 2θ = 10–90°, sorted by position:
d_spacing  I/Imax
2.917  100
2.657  45
2.554  10
2.385  40
1.879  21
1.745  12
1.579  32
1.519  17
1.476  18
1.319  8

Structural model:
Cell: 3.757 3.757 9.258 Å, 90.00 90.00 90.00°
Space group P4/nmm (No. 129, origin choice 2)
Inequivalent atoms, fractional coordinates:
Lu1 0.250 0.250 0.118
Br1 0.250 0.250 0.699
O1 0.250 0.750 0.000